No. 1
The following is a theoretical powder diffractogram of Ba11In6O3. It was derived from a cell relaxed with PBE, using Cu Kα, 1.54184 Å.

Principal peaks in the range 2θ = 5–70°, in order of falling intensity:
| 2theta | intensity |
| --- | --- |
| 27.74 | 100 |
| 32.34 | 41 |
| 54.92 | 26 |
| 31.73 | 26 |
| 45.93 | 20 |
| 26.91 | 14 |
| 54.08 | 11 |
| 46.39 | 10 |
| 31.46 | 8 |
| 29.60 | 7 |

abc: 15.658 15.658 11.285
angles: 90.00 90.00 90.00
Space group I4/mcm (No. 140)
Inequivalent atoms, fractional coordinates:
Ba: 0.000 0.000 0.000 x4
Ba: 0.125 0.375 0.201 x16
Ba: 0.126 0.126 0.250 x16
Ba: 0.229 0.271 0.500 x8
In: 0.001 0.241 0.000 x16
In: 0.066 0.434 0.500 x8
O: 0.000 0.000 0.250 x4
O: 0.250 0.250 0.250 x8


No. 2
The following is a theoretical powder diffractogram of Sc3Ga3Ru2. It was derived from a cell relaxed with PBE, using Cu Kα, 1.54184 Å.

Principal peaks in the range 2θ = 5–70°, in order of falling intensity:
| 2theta | intensity |
| --- | --- |
| 42.79 | 100 |
| 38.60 | 82 |
| 39.83 | 44 |
| 46.32 | 35 |
| 20.93 | 31 |
| 34.68 | 30 |
| 23.70 | 28 |
| 45.78 | 26 |
| 36.24 | 24 |
| 21.69 | 19 |

abc: 6.883 15.689 5.393
angles: 90.00 90.00 90.00
Space group Pnma (No. 62)
Inequivalent atoms, fractional coordinates:
Sc: 0.039 0.112 0.116 x8
Sc: 0.172 0.250 0.643 x4
Ga: 0.172 0.750 0.640 x4
Ga: 0.178 0.026 0.586 x8
Ru: 0.121 0.617 0.360 x8


No. 3
The following is a theoretical powder diffractogram of Ba3H6Rh. It was derived from a cell relaxed with PBE, using Cu Kα, 1.54184 Å.

Principal peaks in the range 2θ = 5–70°, in order of falling intensity:
| 2theta | intensity |
| --- | --- |
| 27.79 | 100 |
| 30.69 | 93 |
| 28.36 | 53 |
| 22.20 | 28 |
| 25.06 | 27 |
| 47.26 | 25 |
| 31.47 | 21 |
| 48.89 | 21 |
| 30.43 | 19 |
| 40.44 | 19 |

abc: 10.1767 10.1767 12.0123
angles: 90.00 90.00 120.00
Space group R-3 (No. 148, hexagonal axes)
Inequivalent atoms, fractional coordinates:
Ba: 0.0393 0.2662 0.2117 x18
H: 0.0010 0.8589 0.5798 x18
H: 0.0222 0.1493 0.9178 x18
Rh: 0.0000 0.0000 0.0000 x3
Rh: 0.0000 0.0000 0.5000 x3


No. 4
The following is a theoretical powder diffractogram of MnFe6. It was derived from a cell relaxed with PBE, using Cu Kα, 1.54184 Å.

Principal peaks in the range 2θ = 5–70°, in order of falling intensity:
| 2theta | intensity |
| --- | --- |
| 46.72 | 100 |
| 47.00 | 55 |
| 44.60 | 54 |
| 42.12 | 48 |
| 41.24 | 28 |
| 36.33 | 24 |
| 45.54 | 21 |
| 48.67 | 16 |
| 40.09 | 12 |
| 67.52 | 12 |

abc: 3.866 7.968 5.450
angles: 90.00 90.00 90.00
Space group Pmmn (No. 59, origin choice 2)
Inequivalent atoms, fractional coordinates:
Mn: 0.250 0.250 0.219 x2
Fe: 0.250 0.001 0.882 x4
Fe: 0.250 0.250 0.663 x2
Fe: 0.250 0.580 0.453 x4
Fe: 0.250 0.750 0.074 x2


No. 5
The following is a theoretical powder diffractogram of Cs6K3Pd. It was derived from a cell relaxed with PBE, using Cu Kα, 1.54184 Å.

Principal peaks in the range 2θ = 5–70°, in order of falling intensity:
| 2theta | intensity |
| --- | --- |
| 22.83 | 100 |
| 9.74 | 40 |
| 29.51 | 25 |
| 35.28 | 25 |
| 38.31 | 23 |
| 21.33 | 19 |
| 41.59 | 18 |
| 42.44 | 17 |
| 56.33 | 14 |
| 20.15 | 12 |

abc: 15.2647 15.2647 24.9982
angles: 90.00 90.00 120.00
Space group R-3m (No. 166, hexagonal axes)
Inequivalent atoms, fractional coordinates:
Cs: 0.1062 0.2125 0.0788 x18
Cs: 0.1066 0.2132 0.4169 x18
K: 0.1067 0.2135 0.7560 x18
Pd: 0.0000 0.0000 0.0000 x3
Pd: 0.0000 0.0000 0.5000 x3


No. 6
The following is a theoretical powder diffractogram of Pr5Bi2Au. It was derived from a cell relaxed with PBE, using Cu Kα, 1.54184 Å.

Principal peaks in the range 2θ = 5–70°, in order of falling intensity:
| 2theta | intensity |
| --- | --- |
| 31.59 | 100 |
| 28.69 | 67 |
| 22.94 | 34 |
| 36.23 | 28 |
| 46.86 | 28 |
| 34.03 | 26 |
| 45.09 | 25 |
| 52.68 | 24 |
| 14.24 | 23 |
| 37.05 | 20 |

abc: 6.223 12.438 14.875
angles: 90.00 90.00 90.00
Space group Cmcm (No. 63)
Inequivalent atoms, fractional coordinates:
Pr: 0.000 0.065 0.110 x8
Pr: 0.000 0.354 0.750 x4
Pr: 0.000 0.379 0.072 x8
Bi: 0.000 0.197 0.586 x8
Au: 0.000 0.242 0.250 x4


No. 7
The following is a theoretical powder diffractogram of Ba5GaP8. It was derived from a cell relaxed with PBE, using Cu Kα, 1.54184 Å.

Principal peaks in the range 2θ = 5–70°, in order of falling intensity:
| 2theta | intensity |
| --- | --- |
| 22.14 | 100 |
| 22.95 | 73 |
| 29.91 | 56 |
| 40.62 | 53 |
| 35.08 | 52 |
| 35.62 | 38 |
| 43.99 | 37 |
| 34.17 | 32 |
| 26.87 | 31 |
| 49.39 | 28 |

abc: 9.384 9.384 10.089
angles: 90.00 90.00 90.00
Space group I-4 (No. 82)
Inequivalent atoms, fractional coordinates:
Ba: 0.000 0.000 0.000 x2
Ba: 0.178 0.745 0.392 x8
Ga: 0.000 0.500 0.750 x2
P: 0.034 0.268 0.848 x8
P: 0.061 0.895 0.698 x8


No. 8
The following is a theoretical powder diffractogram of PuPaIrRh. It was derived from a cell relaxed with PBE, using Cu Kα, 1.54184 Å.

Principal peaks in the range 2θ = 5–70°, in order of falling intensity:
| 2theta | intensity |
| --- | --- |
| 38.38 | 100 |
| 69.42 | 36 |
| 55.41 | 18 |
| 23.23 | 7 |
| 45.35 | 4 |
| 26.88 | 2 |
| 60.88 | 2 |
| 62.63 | 1 |
| 47.48 | 1 |

abc: 6.633 6.633 6.633
angles: 90.00 90.00 90.00
Space group F-43m (No. 216)
Inequivalent atoms, fractional coordinates:
Pu: 0.000 0.000 0.000 x4
Pa: 0.250 0.250 0.750 x4
Ir: 0.000 0.000 0.500 x4
Rh: 0.250 0.250 0.250 x4